For Mg14CoCO16, a structure optimized by DFT (PBE+U) gives the simulated powder XRD pattern in this record (λ = 1.5418 Å (Cu Kα)).
Neutral-atom scattering factors, no anomalous dispersion.

Main lines, most intense first (15° ≤ 2θ ≤ 90°):
2θ = 42.39°, d 2.133, I = 1000, hkl 0 0 4; 2θ = 42.55°, d 2.125, I = 987, hkl 0 4 0; 2θ = 42.73°, d 2.116, I = 976, hkl 2 0 0; 2θ = 61.62°, d 1.505, I = 554, hkl 0 4 4; 2θ = 61.76°, d 1.502, I = 551, hkl 2 0 4; 2θ = 61.88°, d 1.499, I = 547, hkl 2 4 0; 2θ = 77.88°, d 1.227, I = 497, hkl 2 4 4; 2θ = 36.63°, d 2.453, I = 374, hkl 1 2 2; 2θ = 25.73°, d 3.462, I = 91, hkl 1 1 1; 2θ = 73.76°, d 1.285, I = 78, hkl 1 2 6; 2θ = 74.24°, d 1.277, I = 78, hkl 3 2 2; 2θ = 73.99°, d 1.281, I = 77, hkl 1 6 2

Structural model:
Cell: 4.232 8.499 8.530 Å, 90.00 90.00 90.00°
Space group Pmmm (No. 47)
One atom of each set of equivalent atoms:
Mg  0.000  0.000  0.000 [1 per cell]
Mg  0.000  0.000  0.500 [1 per cell]
Mg  0.000  0.254  0.248 [4 per cell]
Mg  0.500  0.000  0.249 [2 per cell]
Mg  0.500  0.250  0.500 [2 per cell]
Mg  0.500  0.254  0.000 [2 per cell]
Mg  0.500  0.500  0.247 [2 per cell]
Co  0.000  0.500  0.500 [1 per cell]
C  0.000  0.500  0.000 [1 per cell]
O  0.000  0.000  0.250 [2 per cell]
O  0.000  0.248  0.000 [2 per cell]
O  0.000  0.251  0.500 [2 per cell]
O  0.000  0.500  0.246 [2 per cell]
O  0.500  0.000  0.000 [1 per cell]
O  0.500  0.000  0.500 [1 per cell]
O  0.500  0.251  0.250 [4 per cell]
O  0.500  0.500  0.000 [1 per cell]
O  0.500  0.500  0.500 [1 per cell]

***

For YCoC6N6O5, a structure optimized by DFT (PBE+U) gives the simulated powder XRD pattern in this record (λ = 1.5418 Å (Cu Kα)).
Neutral-atom scattering factors, no anomalous dispersion.

Main lines, most intense first (15° ≤ 2θ ≤ 90°):
2θ = 19.34°, d 4.590, I = 1000, hkl 1 0 2; 2θ = 15.17°, d 5.841, I = 341, hkl 1 0 1; 2θ = 23.50°, d 3.785, I = 295, hkl 1 1 0; 2θ = 34.44°, d 2.604, I = 240, hkl 2 0 3; 2θ = 38.95°, d 2.312, I = 166, hkl 1 2 2; 2θ = 36.68°, d 2.450, I = 164, hkl 1 1 4; 2θ = 36.94°, d 2.433, I = 146, hkl 1 2 1; 2θ = 48.08°, d 1.893, I = 118, hkl 2 2 0; 2θ = 51.19°, d 1.784, I = 109, hkl 1 2 5; 2θ = 44.79°, d 2.023, I = 80, hkl 2 0 5; 2θ = 39.25°, d 2.295, I = 77, hkl 2 0 4; 2θ = 56.79°, d 1.621, I = 73, hkl 1 2 6

Structural model:
Cell: 7.5701 7.5701 12.8594 Å, 90.00 90.00 120.00°
Space group P6_3/m (No. 176)
One atom of each set of equivalent atoms:
Y  0.3333  0.6667  0.2500 [2 per cell]
Co  0.0000  0.0000  0.0000 [2 per cell]
C  0.1039  0.8696  0.0824 [12 per cell]
N  0.1730  0.7890  0.1322 [12 per cell]
O  0.0731  0.5593  0.7500 [6 per cell]
O  0.3333  0.6667  0.6566 [4 per cell]